Theoretical X-ray diffraction stick pattern of P4O7 for a wavelength of 1.5418 Å, from a crystal structure in the Materials Project, relaxed with GGA-PBE.
Neutral-atom scattering factors, no anomalous dispersion.

Principal peaks in the range 2θ = 10–90°, sorted by position:
- 7.456 Å, 2θ 11.87, I 19, hkl 0 1 1
- 5.329 Å, 2θ 16.64, I 100, hkl 1 1 0
- 5.203 Å, 2θ 17.04, I 25, hkl 0 0 2
- 4.822 Å, 2θ 18.40, I 37, hkl 1 1 -2
- 4.219 Å, 2θ 21.06, I 17, hkl 1 2 -1
- 3.149 Å, 2θ 28.35, I 18, hkl 1 2 -3
- 2.662 Å, 2θ 33.67, I 17, hkl 2 2 0
- 2.486 Å, 2θ 36.14, I 16, hkl 0 3 3

Structural model:
```
data_P4O7
_cell_length_a 6.942
_cell_length_b 10.688
_cell_length_c 11.765
_cell_angle_alpha 90.00
_cell_angle_beta 117.81
_cell_angle_gamma 90.00
_symmetry_space_group_name_H-M 'P 1 21/c 1'
_symmetry_Int_Tables_number 14
loop_
_symmetry_equiv_pos_as_xyz
'x,y,z'
'-x,-y,-z'
'-x,y+1/2,-z+1/2'
'x,-y+1/2,z+1/2'
loop_
_atom_site_label
_atom_site_type_symbol
_atom_site_fract_x
_atom_site_fract_y
_atom_site_fract_z
P1 P 0.011 0.210 0.488
P2 P 0.221 0.117 0.889
P3 P 0.356 0.115 0.163
P4 P 0.471 0.173 0.544
O1 O 0.010 0.191 0.874
O2 O 0.124 0.194 0.113
O3 O 0.186 0.037 0.780
O4 O 0.224 0.123 0.510
O5 O 0.301 0.043 0.023
O6 O 0.402 0.224 0.922
O7 O 0.480 0.727 0.338
```